Calculated powder X-ray diffraction pattern
Compound: TbSmBiI
Radiation: a wavelength of 1.5418 Å
Structure: the GGA-PBE geometry in Alexandria
Kinematic intensities with the Lorentz-polarization factor, no thermal factor.

Principal peaks in the range 10° ≤ 2θ ≤ 90°, low angle first:
2θ = 32.5°, I = 100
2θ = 46.7°, I = 18
2θ = 58.0°, I = 39
2θ = 68.1°, I = 12
2θ = 77.6°, I = 17
2θ = 86.6°, I = 4

Cell and atoms:
Unit cell a=5.5044 b=5.5044 c=5.5044 alpha=60.00 beta=60.00 gamma=60.00
Atoms (fractional coordinates):
Tb 0.0000 0.0000 0.0000
Sm 0.5000 0.5000 0.5000
Bi 0.2500 0.2500 0.2500
I 0.7500 0.7500 0.7500